Calculated X-ray powder pattern
Compound: Nd2Sm2I2N2Cl3
Radiation: Cu Kα
Structure: a crystal structure in OQMD, relaxed with GGA-PBE

Structural model:
Cell lengths 19.225, 3.745, 8.113 Å; angles 90.00, 101.65, 90.00 degrees
Space group C2/m (No. 12)
Unique sites:
Nd  0.001  0.000  0.297 (multiplicity 4)
Sm  0.156  0.500  0.586 (multiplicity 4)
I  0.172  0.000  0.284 (multiplicity 4)
N  0.037  0.500  0.520 (multiplicity 4)
Cl  0.000  0.500  0.000 (multiplicity 2)
Cl  0.149  0.000  0.845 (multiplicity 4)

Most intense lines, 2θ from 15° to 90°, by angle:
2θ = 26.32°, d 3.386, rel. 30, hkl 1 1 -1
2θ = 28.44°, d 3.138, rel. 73, hkl 6 0 0
2θ = 28.85°, d 3.094, rel. 19, hkl 3 1 -1
2θ = 32.55°, d 2.751, rel. 100, hkl 1 1 -2
2θ = 33.78°, d 2.653, rel. 19, hkl 5 1 0
2θ = 35.37°, d 2.538, rel. 19, hkl 4 0 -3
2θ = 43.61°, d 2.075, rel. 38, hkl 5 1 2
2θ = 43.90°, d 2.062, rel. 29, hkl 7 1 -2
2θ = 48.62°, d 1.872, rel. 18, hkl 0 2 0
2θ = 57.30°, d 1.608, rel. 24, hkl 6 2 0

---

Calculated X-ray powder pattern
Compound: BaSrCdBiP
Radiation: Cu Kα
Structure: a crystal structure in OQMD, relaxed with GGA-PBE

Structural model:
Cell lengths 4.646, 17.004, 8.467 Å; angles 90.00, 90.00, 90.00 degrees
Space group Cmc2_1 (No. 36)
Unique sites:
Ba  0.000  0.044  0.000 (multiplicity 4)
Sr  0.000  0.222  0.392 (multiplicity 4)
Cd  0.000  0.400  0.164 (multiplicity 4)
Bi  0.000  0.423  0.802 (multiplicity 4)
P  0.000  0.176  0.741 (multiplicity 4)

Most intense lines, 2θ from 15° to 90°, by angle:
2θ = 26.96°, d 3.307, rel. 100, hkl 1 3 1
2θ = 29.02°, d 3.077, rel. 79, hkl 1 1 2
2θ = 29.79°, d 3.000, rel. 18, hkl 0 4 2
2θ = 31.57°, d 2.834, rel. 17, hkl 0 6 0
2θ = 32.64°, d 2.743, rel. 59, hkl 1 5 0
2θ = 33.45°, d 2.679, rel. 34, hkl 0 2 3
2θ = 38.27°, d 2.352, rel. 34, hkl 0 4 3
2θ = 38.77°, d 2.323, rel. 32, hkl 2 0 0
2θ = 52.10°, d 1.755, rel. 24, hkl 2 2 3
2θ = 55.61°, d 1.653, rel. 23, hkl 2 4 3

---

Calculated X-ray powder pattern
Compound: BeCdSi2
Radiation: Cu Kα
Structure: a crystal structure in OQMD, relaxed with GGA-PBE

Structural model:
Cell lengths 6.316, 6.316, 6.316 Å; angles 90.00, 90.00, 90.00 degrees
Space group F-43m (No. 216)
Unique sites:
Be  0.000  0.000  0.000 (multiplicity 4)
Cd  0.250  0.250  0.250 (multiplicity 4)
Si  0.000  0.000  0.500 (multiplicity 4)
Si  0.250  0.250  0.750 (multiplicity 4)

Most intense lines, 2θ from 15° to 90°, by angle:
2θ = 24.41°, d 3.647, rel. 63, hkl 1 1 1
2θ = 28.26°, d 3.158, rel. 49, hkl 2 0 0
2θ = 40.39°, d 2.233, rel. 100, hkl 2 2 0
2θ = 47.76°, d 1.904, rel. 31, hkl 3 1 1
2θ = 50.02°, d 1.823, rel. 13, hkl 2 2 2
2θ = 58.45°, d 1.579, rel. 16, hkl 4 0 0
2θ = 64.29°, d 1.449, rel. 12, hkl 3 3 1
2θ = 66.17°, d 1.412, rel. 16, hkl 4 2 0
2θ = 73.45°, d 1.289, rel. 33, hkl 4 2 2
2θ = 87.33°, d 1.117, rel. 11, hkl 4 4 0